For NdGdSi4Ni2, a structure optimized by DFT (GGA-PBE) gives the computed X-ray diffraction stick pattern in this record (λ = 1.5418 Å (Cu Kα)).
Kinematic intensities with the Lorentz-polarization factor, no thermal factor.

Most intense lines, 10 to 80 degrees two-theta, low angle first:
| 2θ (°) | intensity |
| --- | --- |
| 21.7 | 29 |
| 24.6 | 29 |
| 31.1 | 29 |
| 31.6 | 81 |
| 35.1 | 78 |
| 35.3 | 100 |
| 39.8 | 38 |
| 44.2 | 35 |
| 44.8 | 33 |
| 58.2 | 35 |

Structural model:
a b c (Å): 4.0421 8.4426 8.4426
angles (deg): 28.07 90.00 90.00
Fractional positions:
Nd: 0.0000 0.0000 0.0000
Gd: 0.5000 0.2120 0.2120
Si: 0.0000 0.3539 0.3539
Si: 0.0000 0.6470 0.6470
Si: 0.5000 0.5662 0.5662
Si: 0.5000 0.8546 0.8546
Ni: 0.0000 0.7850 0.7850
Ni: 0.5000 0.4245 0.4245

***

For Nd2GdNi4Sn4, a structure optimized by DFT (GGA-PBE) gives the computed X-ray diffraction stick pattern in this record (λ = 1.5418 Å (Cu Kα)).
Kinematic intensities with the Lorentz-polarization factor, no thermal factor.

Most intense lines, 10 to 80 degrees two-theta, low angle first:
| 2θ (°) | intensity |
| --- | --- |
| 33.1 | 100 |
| 33.4 | 28 |
| 34.2 | 91 |
| 37.1 | 17 |
| 40.0 | 44 |
| 43.2 | 21 |
| 45.3 | 27 |
| 45.6 | 19 |
| 60.3 | 15 |
| 76.1 | 16 |

Structural model:
a b c (Å): 8.3682 8.3682 8.3682
angles (deg): 148.76 130.76 59.48
Fractional positions:
Nd: 0.1327 0.1327 0.0000
Nd: 0.8673 0.8673 0.0000
Gd: 0.5000 0.0000 0.5000
Ni: 0.1386 0.3254 0.8132
Ni: 0.4878 0.6746 0.8132
Ni: 0.5122 0.3254 0.1868
Ni: 0.8614 0.6746 0.1868
Sn: 0.2076 0.5000 0.7076
Sn: 0.2845 0.7845 0.5000
Sn: 0.7155 0.2155 0.5000
Sn: 0.7924 0.5000 0.2924

***

For NdGdZn2Sb2O2, a structure optimized by DFT (GGA-PBE) gives the computed X-ray diffraction stick pattern in this record (λ = 1.5418 Å (Cu Kα)).
Kinematic intensities with the Lorentz-polarization factor, no thermal factor.

Most intense lines, 10 to 80 degrees two-theta, low angle first:
| 2θ (°) | intensity |
| --- | --- |
| 28.6 | 100 |
| 30.5 | 25 |
| 32.0 | 20 |
| 35.6 | 29 |
| 36.0 | 23 |
| 43.7 | 36 |
| 49.3 | 22 |
| 53.1 | 35 |
| 57.6 | 14 |
| 66.7 | 14 |

Structural model:
a b c (Å): 4.1406 4.1406 9.5228
angles (deg): 90.00 90.00 90.00
Fractional positions:
Nd: 0.0000 0.0000 0.0000
Gd: 0.5000 0.5000 0.7711
Zn: 0.0000 0.5000 0.3832
Zn: 0.5000 0.0000 0.3832
Sb: 0.0000 0.0000 0.5690
Sb: 0.5000 0.5000 0.1959
O: 0.0000 0.5000 0.8782
O: 0.5000 0.0000 0.8782

***

For Nd2GdTa2O6, a structure optimized by DFT (GGA-PBE) gives the computed X-ray diffraction stick pattern in this record (λ = 1.5418 Å (Cu Kα)).
Kinematic intensities with the Lorentz-polarization factor, no thermal factor.

Most intense lines, 10 to 80 degrees two-theta, low angle first:
| 2θ (°) | intensity |
| --- | --- |
| 26.3 | 21 |
| 31.8 | 98 |
| 32.2 | 100 |
| 39.5 | 45 |
| 45.6 | 49 |
| 49.5 | 23 |
| 56.9 | 54 |
| 61.9 | 24 |
| 66.5 | 21 |
| 75.6 | 22 |

Structural model:
a b c (Å): 10.1338 10.1338 10.1338
angles (deg): 157.35 157.35 32.25
Fractional positions:
Nd: 0.1820 0.1820 0.0000
Nd: 0.8180 0.8180 0.0000
Gd: 0.0000 0.0000 0.0000
Ta: 0.4320 0.4320 0.0000
Ta: 0.5680 0.5680 0.0000
O: 0.0942 0.5942 0.5000
O: 0.2952 0.2952 0.0000
O: 0.4058 0.9058 0.5000
O: 0.5942 0.0942 0.5000
O: 0.7048 0.7048 0.0000
O: 0.9058 0.4058 0.5000